(1)
Structure and calculated X-ray powder pattern of Hf12ZrIn6 (a structure optimized by DFT (GGA-PBE); Cu Kα (weighted mean of Kα1 and Kα2)).
Intensities are scaled so that the largest is 100.

Cell and atoms:
a b c (Å): 12.9941 12.9941 9.5314
angles (deg): 90.00 90.00 120.00
Space group R-3m (No. 166, hexagonal axes)
Inequivalent atoms, fractional coordinates:
Hf (0.0000, 0.3844, 0.0000) [18 per cell]
Hf (0.0790, 0.1580, 0.7864) [18 per cell]
Zr (0.0000, 0.0000, 0.5000) [3 per cell]
In (0.0570, 0.5285, 0.7361) [18 per cell]

Top 10 peaks for 2θ = 5–70°, by angle:
| hkl | 2θ (°) | d/Å | I_rel |
| --- | --- | --- | --- |
| 0 1 2 | 20.24 | 4.388 | 35.0 |
| 1 3 1 | 30.13 | 2.966 | 100.0 |
| 1 1 3 | 31.34 | 2.854 | 60.1 |
| 3 2 1 | 36.04 | 2.492 | 79.9 |
| 4 1 0 | 36.59 | 2.456 | 24.1 |
| 0 3 3 | 37.09 | 2.424 | 79.8 |
| 2 3 2 | 39.71 | 2.270 | 49.1 |
| 0 2 4 | 41.15 | 2.194 | 45.3 |
| 2 4 1 | 43.59 | 2.077 | 28.4 |
| 5 0 2 | 44.52 | 2.035 | 63.1 |

(2)
Structure and calculated X-ray powder pattern of Ce2PuTl2 (a structure optimized by DFT (GGA-PBE); Cu Kα (weighted mean of Kα1 and Kα2)).
Intensities are scaled so that the largest is 100.

Cell and atoms:
a b c (Å): 3.931 22.691 6.317
angles (deg): 90.00 90.00 90.00
Space group Cmc2_1 (No. 36)
Inequivalent atoms, fractional coordinates:
Ce (0.000, 0.104, 0.000) [4 per cell]
Ce (0.000, 0.345, 0.976) [4 per cell]
Pu (0.000, 0.082, 0.395) [4 per cell]
Tl (0.000, 0.275, 0.471) [4 per cell]
Tl (0.000, 0.486, 0.197) [4 per cell]

Top 10 peaks for 2θ = 5–70°, by angle:
| hkl | 2θ (°) | d/Å | I_rel |
| --- | --- | --- | --- |
| 0 2 0 | 7.79 | 11.346 | 26.5 |
| 1 3 1 | 29.25 | 3.053 | 24.0 |
| 0 2 2 | 29.35 | 3.043 | 24.6 |
| 1 5 0 | 30.08 | 2.971 | 100.0 |
| 1 5 1 | 33.33 | 2.689 | 56.9 |
| 1 1 2 | 36.72 | 2.448 | 32.2 |
| 0 6 2 | 37.08 | 2.424 | 23.5 |
| 1 3 2 | 38.45 | 2.341 | 30.9 |
| 2 0 0 | 46.19 | 1.965 | 28.0 |
| 0 0 4 | 58.38 | 1.581 | 26.1 |

(3)
Structure and calculated X-ray powder pattern of RbInGa2F8 (a structure optimized by DFT (GGA-PBE); Cu Kα (weighted mean of Kα1 and Kα2)).
Intensities are scaled so that the largest is 100.

Cell and atoms:
a b c (Å): 5.7804 5.7804 9.0337
angles (deg): 90.00 90.00 120.00
Space group P-3 (No. 147)
Inequivalent atoms, fractional coordinates:
Rb (0.0000, 0.0000, 0.0000) [1 per cell]
In (0.0000, 0.0000, 0.5000) [1 per cell]
Ga (0.3333, 0.6667, 0.7886) [2 per cell]
F (0.0829, 0.3410, 0.7256) [6 per cell]
F (0.3333, 0.6667, 0.9877) [2 per cell]

Top 10 peaks for 2θ = 5–70°, by angle:
| hkl | 2θ (°) | d/Å | I_rel |
| --- | --- | --- | --- |
| 1 0 0 | 17.72 | 5.006 | 32.4 |
| 0 1 1 | 20.28 | 4.379 | 92.9 |
| 1 0 2 | 26.58 | 3.354 | 100.0 |
| 1 1 0 | 30.94 | 2.890 | 65.8 |
| 2 -1 2 | 36.92 | 2.434 | 18.0 |
| 0 0 4 | 39.92 | 2.258 | 16.3 |
| 0 2 2 | 41.24 | 2.189 | 44.4 |
| 1 1 4 | 51.34 | 1.780 | 21.8 |
| 2 1 2 | 52.43 | 1.745 | 31.8 |
| 3 0 0 | 55.03 | 1.669 | 19.4 |

(4)
Structure and calculated X-ray powder pattern of Ce2UGe3Pt4 (a structure optimized by DFT (GGA-PBE); Cu Kα (weighted mean of Kα1 and Kα2)).
Intensities are scaled so that the largest is 100.

Cell and atoms:
a b c (Å): 4.326 4.326 11.033
angles (deg): 90.00 90.00 90.00
Space group P-4m2 (No. 115)
Inequivalent atoms, fractional coordinates:
Ce (0.000, 0.500, 0.232) [2 per cell]
U (0.000, 0.000, 0.500) [1 per cell]
Ge (0.000, 0.500, 0.879) [2 per cell]
Ge (0.500, 0.500, 0.500) [1 per cell]
Pt (0.000, 0.000, 0.000) [1 per cell]
Pt (0.000, 0.500, 0.656) [2 per cell]
Pt (0.500, 0.500, 0.000) [1 per cell]

Top 10 peaks for 2θ = 5–70°, by angle:
| hkl | 2θ (°) | d/Å | I_rel |
| --- | --- | --- | --- |
| 1 0 2 | 26.18 | 3.404 | 14.4 |
| 1 0 3 | 31.94 | 2.802 | 21.3 |
| 1 1 2 | 33.50 | 2.675 | 100.0 |
| 1 0 4 | 38.72 | 2.326 | 10.8 |
| 2 0 0 | 41.76 | 2.163 | 51.1 |
| 1 1 4 | 44.22 | 2.048 | 28.5 |
| 1 0 5 | 46.18 | 1.966 | 17.6 |
| 2 2 0 | 60.54 | 1.529 | 17.3 |
| 2 1 5 | 64.01 | 1.455 | 13.3 |
| 2 0 6 | 66.77 | 1.401 | 10.6 |

(5)
Structure and calculated X-ray powder pattern of Tl2ZnGa7 (a structure optimized by DFT (GGA-PBE); Cu Kα (weighted mean of Kα1 and Kα2)).
Intensities are scaled so that the largest is 100.

Cell and atoms:
a b c (Å): 4.337 4.337 11.449
angles (deg): 90.00 90.00 90.00
Space group P-4m2 (No. 115)
Inequivalent atoms, fractional coordinates:
Tl (0.000, 0.500, 0.245) [2 per cell]
Zn (0.500, 0.500, 0.000) [1 per cell]
Ga (0.000, 0.000, 0.000) [1 per cell]
Ga (0.000, 0.000, 0.500) [1 per cell]
Ga (0.000, 0.500, 0.639) [2 per cell]
Ga (0.000, 0.500, 0.864) [2 per cell]
Ga (0.500, 0.500, 0.500) [1 per cell]

Top 10 peaks for 2θ = 5–70°, by angle:
| hkl | 2θ (°) | d/Å | I_rel |
| --- | --- | --- | --- |
| 1 0 1 | 21.91 | 4.056 | 15.2 |
| 1 1 0 | 29.12 | 3.067 | 20.6 |
| 1 0 3 | 31.22 | 2.865 | 74.4 |
| 1 1 2 | 33.14 | 2.703 | 100.0 |
| 2 0 0 | 41.65 | 2.169 | 47.8 |
| 1 0 5 | 44.75 | 2.025 | 37.5 |
| 2 1 3 | 52.96 | 1.729 | 38.2 |
| 1 1 6 | 56.83 | 1.620 | 12.1 |
| 2 2 0 | 60.36 | 1.533 | 15.7 |
| 2 1 5 | 62.78 | 1.480 | 26.6 |

(6)
Structure and calculated X-ray powder pattern of Tb4DyHg2 (a structure optimized by DFT (GGA-PBE); Cu Kα (weighted mean of Kα1 and Kα2)).
Intensities are scaled so that the largest is 100.

Cell and atoms:
a b c (Å): 5.0909 5.0909 30.2507
angles (deg): 90.00 90.00 120.00
Space group R-3m (No. 166, hexagonal axes)
Inequivalent atoms, fractional coordinates:
Tb (0.0000, 0.0000, 0.1080) [6 per cell]
Tb (0.0000, 0.0000, 0.2963) [6 per cell]
Dy (0.0000, 0.0000, 0.5000) [3 per cell]
Hg (0.0000, 0.0000, 0.3993) [6 per cell]

Top 10 peaks for 2θ = 5–70°, by angle:
| hkl | 2θ (°) | d/Å | I_rel |
| --- | --- | --- | --- |
| 0 0 6 | 17.59 | 5.042 | 10.6 |
| 1 0 1 | 20.36 | 4.363 | 29.4 |
| 1 0 4 | 23.35 | 3.809 | 21.7 |
| 0 1 5 | 24.99 | 3.563 | 24.8 |
| 1 1 0 | 35.26 | 2.545 | 100.0 |
| 1 0 10 | 36.01 | 2.494 | 87.1 |
| 0 2 10 | 51.28 | 1.782 | 32.1 |
| 3 0 0 | 63.28 | 1.470 | 18.5 |
| 2 1 10 | 63.76 | 1.460 | 33.4 |
| 0 1 20 | 65.21 | 1.431 | 12.2 |

(7)
Structure and calculated X-ray powder pattern of Tb2Y7Er4 (a structure optimized by DFT (GGA-PBE); Cu Kα (weighted mean of Kα1 and Kα2)).
Intensities are scaled so that the largest is 100.

Cell and atoms:
a b c (Å): 6.157 7.918 9.417
angles (deg): 65.14 89.73 82.53
Space group P-1 (No. 2)
Inequivalent atoms, fractional coordinates:
Tb (0.154, 0.076, 0.115) [2 per cell]
Y (0.000, 0.000, 0.500) [1 per cell]
Y (0.077, 0.538, 0.807) [2 per cell]
Y (0.232, 0.615, 0.423) [2 per cell]
Y (0.386, 0.694, 0.038) [2 per cell]
Er (0.307, 0.153, 0.730) [2 per cell]
Er (0.460, 0.229, 0.347) [2 per cell]

Top 10 peaks for 2θ = 5–70°, by angle:
| hkl | 2θ (°) | d/Å | I_rel |
| --- | --- | --- | --- |
| 2 1 1 | 30.82 | 2.901 | 100.0 |
| 1 0 3 | 35.57 | 2.524 | 17.0 |
| 1 3 1 | 35.82 | 2.507 | 33.3 |
| 2 3 4 | 51.37 | 1.779 | 23.7 |
| -1 4 3 | 51.62 | 1.771 | 6.0 |
| 3 1 4 | 60.95 | 1.520 | 14.1 |
| 3 4 2 | 61.27 | 1.513 | 17.3 |
| 1 5 4 | 61.35 | 1.511 | 6.9 |
| 4 2 2 | 64.15 | 1.452 | 6.0 |
| 0 4 6 | 64.26 | 1.449 | 6.0 |

(8)
Structure and calculated X-ray powder pattern of TeSe2 (a structure optimized by DFT (GGA-PBE); Cu Kα (weighted mean of Kα1 and Kα2)).
Intensities are scaled so that the largest is 100.

Cell and atoms:
a b c (Å): 5.306 4.160 9.206
angles (deg): 90.00 101.88 90.00
Space group P2_1 (No. 4)
Inequivalent atoms, fractional coordinates:
Te (0.099, 0.000, 0.221) [2 per cell]
Se (0.281, 0.910, 0.879) [2 per cell]
Se (0.482, 0.404, 0.321) [2 per cell]

Top 10 peaks for 2θ = 5–70°, by angle:
| hkl | 2θ (°) | d/Å | I_rel |
| --- | --- | --- | --- |
| 0 0 1 | 9.82 | 9.008 | 24.5 |
| 0 0 2 | 19.71 | 4.504 | 65.5 |
| 1 1 0 | 27.47 | 3.246 | 40.7 |
| 1 1 -1 | 27.99 | 3.188 | 22.6 |
| 1 1 1 | 30.45 | 2.936 | 100.0 |
| 1 0 -3 | 31.19 | 2.868 | 46.1 |
| 0 1 3 | 36.92 | 2.435 | 20.5 |
| 2 0 1 | 37.99 | 2.368 | 18.4 |
| 2 1 -2 | 42.42 | 2.131 | 44.9 |
| 1 1 3 | 43.63 | 2.074 | 30.1 |

(9)
Structure and calculated X-ray powder pattern of Ba4Sm3Cl16 (a structure optimized by DFT (GGA-PBE); Cu Kα (weighted mean of Kα1 and Kα2)).
Intensities are scaled so that the largest is 100.

Cell and atoms:
a b c (Å): 13.4436 13.4436 24.9804
angles (deg): 90.00 90.00 120.00
Space group R-3 (No. 148, hexagonal axes)
Inequivalent atoms, fractional coordinates:
Ba (0.0000, 0.0000, 0.2300) [6 per cell]
Ba (0.0126, 0.2316, 0.4094) [18 per cell]
Sm (0.0497, 0.2579, 0.9114) [18 per cell]
Cl (0.0000, 0.0000, 0.3719) [6 per cell]
Cl (0.0274, 0.5648, 0.6661) [18 per cell]
Cl (0.0278, 0.2373, 0.5393) [18 per cell]
Cl (0.0365, 0.1672, 0.1145) [18 per cell]
Cl (0.0492, 0.2361, 0.2839) [18 per cell]
Cl (0.0578, 0.2496, 0.7960) [18 per cell]

Top 10 peaks for 2θ = 5–70°, by angle:
| hkl | 2θ (°) | d/Å | I_rel |
| --- | --- | --- | --- |
| 0 0 6 | 21.39 | 4.154 | 100.0 |
| 2 1 4 | 24.75 | 3.597 | 23.4 |
| 2 3 2 | 34.33 | 2.612 | 10.7 |
| 1 4 0 | 35.28 | 2.544 | 80.7 |
| 5 -1 6 | 41.62 | 2.170 | 38.3 |
| 4 2 2 | 41.68 | 2.167 | 14.7 |
| 4 2 8 | 50.76 | 1.799 | 9.6 |
| 6 -4 10 | 55.62 | 1.652 | 9.5 |
| 0 7 2 | 55.76 | 1.649 | 8.2 |
| 8 -3 8 | 63.38 | 1.468 | 12.7 |

(10)
Structure and calculated X-ray powder pattern of Cd8Pb (a structure optimized by DFT (GGA-PBE); Cu Kα (weighted mean of Kα1 and Kα2)).
Intensities are scaled so that the largest is 100.

Cell and atoms:
a b c (Å): 5.457 5.718 7.778
angles (deg): 89.21 86.23 63.01
Space group P-1 (No. 2)
Inequivalent atoms, fractional coordinates:
Cd (0.002, 0.155, 0.162) [2 per cell]
Cd (0.332, 0.840, 0.501) [2 per cell]
Cd (0.342, 0.495, 0.160) [2 per cell]
Cd (0.343, 0.161, 0.836) [2 per cell]
Pb (0.000, 0.500, 0.500) [1 per cell]

Top 10 peaks for 2θ = 5–70°, by angle:
| hkl | 2θ (°) | d/Å | I_rel |
| --- | --- | --- | --- |
| 1 -1 1 | 32.26 | 2.775 | 88.1 |
| 1 2 1 | 33.28 | 2.692 | 81.7 |
| 0 0 3 | 34.68 | 2.587 | 72.5 |
| 2 1 -1 | 35.66 | 2.518 | 67.2 |
| 2 1 2 | 39.17 | 2.300 | 51.8 |
| 1 2 -2 | 39.60 | 2.276 | 100.0 |
| 0 3 0 | 53.99 | 1.698 | 19.5 |
| 1 -1 4 | 55.57 | 1.654 | 18.1 |
| 3 0 0 | 56.92 | 1.618 | 33.1 |
| 2 1 5 | 67.50 | 1.388 | 19.5 |

(11)
Structure and calculated X-ray powder pattern of CsLiReF6 (a structure optimized by DFT (GGA-PBE); Cu Kα (weighted mean of Kα1 and Kα2)).
Intensities are scaled so that the largest is 100.

Cell and atoms:
a b c (Å): 7.477 7.652 10.769
angles (deg): 90.00 90.00 90.00
Space group Imma (No. 74)
Inequivalent atoms, fractional coordinates:
Cs (0.000, 0.250, 0.074) [4 per cell]
Li (0.250, 0.250, 0.750) [4 per cell]
Re (0.000, 0.000, 0.500) [4 per cell]
F (0.000, 0.250, 0.433) [4 per cell]
F (0.000, 0.250, 0.810) [4 per cell]
F (0.194, 0.045, 0.618) [16 per cell]

Top 10 peaks for 2θ = 5–70°, by angle:
| hkl | 2θ (°) | d/Å | I_rel |
| --- | --- | --- | --- |
| 1 0 1 | 14.42 | 6.142 | 21.2 |
| 0 0 2 | 16.46 | 5.385 | 55.5 |
| 2 0 0 | 23.80 | 3.738 | 28.0 |
| 1 2 1 | 27.46 | 3.248 | 100.0 |
| 2 0 2 | 29.08 | 3.071 | 28.1 |
| 1 2 3 | 36.36 | 2.471 | 13.2 |
| 3 2 1 | 44.20 | 2.049 | 23.0 |
| 2 2 4 | 47.95 | 1.897 | 15.5 |
| 0 4 2 | 50.59 | 1.804 | 14.6 |
| 0 2 6 | 56.67 | 1.624 | 14.6 |

(12)
Structure and calculated X-ray powder pattern of La6CePr (a structure optimized by DFT (GGA-PBE); Cu Kα (weighted mean of Kα1 and Kα2)).
Intensities are scaled so that the largest is 100.

Cell and atoms:
a b c (Å): 5.205 5.205 10.429
angles (deg): 90.00 90.00 90.00
Space group P4/mmm (No. 123)
Inequivalent atoms, fractional coordinates:
La (0.000, 0.000, 0.000) [1 per cell]
La (0.000, 0.000, 0.500) [1 per cell]
La (0.000, 0.500, 0.242) [4 per cell]
Ce (0.500, 0.500, 0.000) [1 per cell]
Pr (0.500, 0.500, 0.500) [1 per cell]

Top 5 peaks for 2θ = 5–70°, by angle:
| hkl | 2θ (°) | d/Å | I_rel |
| --- | --- | --- | --- |
| 1 1 2 | 29.71 | 3.007 | 100.0 |
| 2 0 0 | 34.44 | 2.604 | 50.6 |
| 2 2 0 | 49.50 | 1.841 | 35.9 |
| 3 1 2 | 58.80 | 1.570 | 42.5 |
| 2 2 4 | 61.70 | 1.503 | 12.2 |